Structure and theoretical powder diffraction line list of NaPrEuNiO6 (DFT lattice parameters and positions (GGA+U); Cu Kα X-rays).

The 10 most intense peaks (2θ from 10° to 90°), sorted by position:
hkl 0 0 2, 2θ 18.57, 4.777 Å, intensity 24; hkl 1 1 0, 2θ 24.26, 3.669 Å, intensity 43; hkl 1 1 2, 2θ 30.73, 2.910 Å, intensity 100; hkl 2 0 0, 2θ 34.57, 2.594 Å, intensity 73; hkl 0 0 4, 2θ 37.66, 2.389 Å, intensity 35; hkl 2 0 2, 2θ 39.53, 2.280 Å, intensity 26; hkl 2 2 0, 2θ 49.70, 1.835 Å, intensity 24; hkl 2 0 4, 2θ 52.04, 1.757 Å, intensity 43; hkl 3 1 2, 2θ 59.57, 1.552 Å, intensity 44; hkl 2 2 4, 2θ 63.99, 1.455 Å, intensity 21

Structural model:
Lattice parameters (Å, degrees): 5.189 5.189 9.554 90.00 90.00 90.00
Space group P-4n2 (No. 118)
Unique sites:
Na1 0.000 0.000 0.000 x2
Pr1 0.000 0.500 0.750 x2
Eu1 0.000 0.500 0.250 x2
Ni1 0.000 0.000 0.500 x2
O1 0.000 0.000 0.269 x4
O2 0.094 0.387 0.504 x8

Structure and theoretical powder diffraction line list of NaPrEuWO6 (DFT lattice parameters and positions (GGA+U); Cu Kα X-rays).

The 10 most intense peaks (2θ from 10° to 90°), sorted by position:
hkl 0 1 1, 2θ 18.34, 4.839 Å, intensity 57; hkl 1 0 -2, 2θ 19.23, 4.615 Å, intensity 31; hkl 0 2 0, 2θ 29.73, 3.005 Å, intensity 40; hkl 1 1 1, 2θ 30.60, 2.921 Å, intensity 100; hkl 1 1 -3, 2θ 31.05, 2.880 Å, intensity 97; hkl 2 0 -2, 2θ 31.54, 2.837 Å, intensity 47; hkl 2 2 -2, 2θ 43.89, 2.063 Å, intensity 36; hkl 0 0 4, 2θ 44.43, 2.039 Å, intensity 25; hkl 3 1 -1, 2θ 55.30, 1.661 Å, intensity 23; hkl 2 0 -6, 2θ 56.10, 1.639 Å, intensity 33

Structural model:
Lattice parameters (Å, degrees): 5.675 6.011 9.846 90.00 124.07 90.00
Space group Pc (No. 7)
Unique sites:
Na1 0.000 0.245 0.000 x2
Pr1 0.776 0.318 0.256 x2
Eu1 0.227 0.189 0.747 x2
W1 0.498 0.245 0.499 x2
O1 0.159 0.078 0.446 x2
O2 0.254 0.486 0.928 x2
O3 0.398 0.200 0.274 x2
O4 0.614 0.302 0.725 x2
O5 0.724 0.031 0.069 x2
O6 0.824 0.426 0.546 x2